No. 1
Structure and computed powder X-ray diffraction pattern of AgBr (a structure optimized by DFT (PBE); λ = 1.5418 Å (Cu Kα)).
Neutral-atom scattering factors, no anomalous dispersion.

Crystal structure
```
data_AgBr
_cell_length_a 10.7491
_cell_length_b 10.7491
_cell_length_c 4.5816
_cell_angle_alpha 90.00
_cell_angle_beta 90.00
_cell_angle_gamma 120.00
_symmetry_space_group_name_H-M 'P 63/m'
_symmetry_Int_Tables_number 176
_symmetry_space_group_name_Hall '-P 6c'
loop_
_atom_site_label
_atom_site_fract_x
_atom_site_fract_y
_atom_site_fract_z
_atom_site_occupancy
Ag1 0.0731 0.6654 0.2500 1
Br1 0.0866 0.4064 0.2500 1
```

Top 6 peaks for 2θ = 10–80°, sorted by position:
2θ = 16.5°, I = 100, (1 1 0)
2θ = 21.6°, I = 59, (1 0 1)
2θ = 27.3°, I = 43, (2 0 1)
2θ = 28.8°, I = 35, (3 0 0)
2θ = 32.1°, I = 40, (1 2 1)
2θ = 43.6°, I = 88, (4 0 1)



No. 2
Structure and computed powder X-ray diffraction pattern of AgBr5 (a structure optimized by DFT (PBE); λ = 1.5418 Å (Cu Kα)).
Neutral-atom scattering factors, no anomalous dispersion.

Crystal structure
```
data_AgBr5
_cell_length_a 8.6996
_cell_length_b 3.8913
_cell_length_c 12.6263
_cell_angle_alpha 90.00
_cell_angle_beta 90.00
_cell_angle_gamma 90.00
_symmetry_space_group_name_H-M 'A m m 2'
_symmetry_Int_Tables_number 38
loop_
_symmetry_equiv_pos_as_xyz
'x,y,z'
'-x,-y,z'
'-x,y,z'
'x,-y,z'
'x,y+1/2,z+1/2'
'-x,-y+1/2,z+1/2'
'-x,y+1/2,z+1/2'
'x,-y+1/2,z+1/2'
loop_
_atom_site_label
_atom_site_fract_x
_atom_site_fract_y
_atom_site_fract_z
_atom_site_occupancy
Ag1 0.0000 0.0000 0.0000 1
Br1 0.0000 0.0000 0.3619 1
Br2 0.0000 0.0000 0.6380 1
Br3 0.5000 0.0000 0.1892 1
Br4 0.5000 0.0000 0.5224 1
Br5 0.5000 0.0000 0.8553 1
```

Top 6 peaks for 2θ = 10–80°, sorted by position:
2θ = 20.4°, I = 98, (2 0 0)
2θ = 33.0°, I = 100, (1 1 3)
2θ = 41.5°, I = 15, (4 0 0)
2θ = 44.5°, I = 42, (3 1 3)
2θ = 51.5°, I = 16, (2 2 0)
2θ = 62.5°, I = 15, (5 1 3)



No. 3
Structure and computed powder X-ray diffraction pattern of AgBr (a structure optimized by DFT (PBE); λ = 1.5418 Å (Cu Kα)).
Neutral-atom scattering factors, no anomalous dispersion.

Crystal structure
```
data_AgBr
_cell_length_a 8.6536
_cell_length_b 8.8635
_cell_length_c 12.8920
_cell_angle_alpha 90.00
_cell_angle_beta 90.00
_cell_angle_gamma 90.00
_symmetry_space_group_name_H-M 'F d d d'
_symmetry_Int_Tables_number 70
loop_
_symmetry_equiv_pos_as_xyz
'x,y,z'
'-x,-y,-z'
'-x+1/4,-y+1/4,z'
'x+1/4,y+1/4,-z'
'x,-y+1/4,-z+1/4'
'-x,y+1/4,z+1/4'
'-x+1/4,y,-z+1/4'
'x+1/4,-y,z+1/4'
'x,y+1/2,z+1/2'
'-x,-y+1/2,-z+1/2'
'-x+1/4,-y+3/4,z+1/2'
'x+1/4,y+3/4,-z+1/2'
'x,-y+3/4,-z+3/4'
'-x,y+3/4,z+3/4'
'-x+1/4,y+1/2,-z+3/4'
'x+1/4,-y+1/2,z+3/4'
'x+1/2,y,z+1/2'
'-x+1/2,-y,-z+1/2'
'-x+3/4,-y+1/4,z+1/2'
'x+3/4,y+1/4,-z+1/2'
'x+1/2,-y+1/4,-z+3/4'
'-x+1/2,y+1/4,z+3/4'
'-x+3/4,y,-z+3/4'
'x+3/4,-y,z+3/4'
'x+1/2,y+1/2,z'
'-x+1/2,-y+1/2,-z'
'-x+3/4,-y+3/4,z'
'x+3/4,y+3/4,-z'
'x+1/2,-y+3/4,-z+1/4'
'-x+1/2,y+3/4,z+1/4'
'-x+3/4,y+1/2,-z+1/4'
'x+3/4,-y+1/2,z+1/4'
loop_
_atom_site_label
_atom_site_fract_x
_atom_site_fract_y
_atom_site_fract_z
_atom_site_occupancy
Ag1 0.1250 0.1250 0.0058 1
Br1 0.1109 0.3750 0.8750 1
```

Top 6 peaks for 2θ = 10–80°, sorted by position:
2θ = 15.9°, I = 81, (1 1 1)
2θ = 24.4°, I = 43, (0 2 2)
2θ = 24.8°, I = 27, (2 0 2)
2θ = 25.2°, I = 29, (1 1 3)
2θ = 33.4°, I = 25, (3 1 1)
2θ = 40.4°, I = 100, (2 2 4)



No. 4
Structure and computed powder X-ray diffraction pattern of AgBr4 (a structure optimized by DFT (PBE); λ = 1.5418 Å (Cu Kα)).
Neutral-atom scattering factors, no anomalous dispersion.

Crystal structure
```
data_AgBr4
_cell_length_a 7.5354
_cell_length_b 16.9570
_cell_length_c 6.8135
_cell_angle_alpha 90.00
_cell_angle_beta 92.15
_cell_angle_gamma 90.00
_symmetry_space_group_name_H-M 'C 1 2/m 1'
_symmetry_Int_Tables_number 12
loop_
_symmetry_equiv_pos_as_xyz
'x,y,z'
'-x,-y,-z'
'-x,y,-z'
'x,-y,z'
'x+1/2,y+1/2,z'
'-x+1/2,-y+1/2,-z'
'-x+1/2,y+1/2,-z'
'x+1/2,-y+1/2,z'
loop_
_atom_site_label
_atom_site_fract_x
_atom_site_fract_y
_atom_site_fract_z
_atom_site_occupancy
Ag1 0.0000 0.2487 0.0000 1
Br1 0.1599 0.5000 0.5912 1
Br2 0.1611 0.0000 0.0944 1
Br3 0.2417 0.2488 0.7382 1
```

Top 6 peaks for 2θ = 10–80°, sorted by position:
2θ = 10.4°, I = 30, (0 2 0)
2θ = 18.0°, I = 33, (1 1 -1)
2θ = 21.0°, I = 100, (0 4 0)
2θ = 34.9°, I = 26, (2 0 -2)
2θ = 37.8°, I = 42, (2 2 2)
2θ = 41.0°, I = 29, (2 4 -2)



No. 5
Structure and computed powder X-ray diffraction pattern of Ag5Br8 (a structure optimized by DFT (PBE); λ = 1.5418 Å (Cu Kα)).
Neutral-atom scattering factors, no anomalous dispersion.

Crystal structure
```
data_Ag5Br8
_cell_length_a 12.9523
_cell_length_b 7.7448
_cell_length_c 9.2547
_cell_angle_alpha 90.00
_cell_angle_beta 123.99
_cell_angle_gamma 90.00
_symmetry_space_group_name_H-M 'C 1 2/m 1'
_symmetry_Int_Tables_number 12
loop_
_symmetry_equiv_pos_as_xyz
'x,y,z'
'-x,-y,-z'
'-x,y,-z'
'x,-y,z'
'x+1/2,y+1/2,z'
'-x+1/2,-y+1/2,-z'
'-x+1/2,y+1/2,-z'
'x+1/2,-y+1/2,z'
loop_
_atom_site_label
_atom_site_fract_x
_atom_site_fract_y
_atom_site_fract_z
_atom_site_occupancy
Ag1 0.0000 0.0000 0.0000 1
Ag2 0.0000 0.2543 0.5000 1
Ag3 0.2210 0.5000 0.9734 1
Br1 0.0367 0.0000 0.3410 1
Br2 0.0453 0.5000 0.3444 1
Br3 0.1928 0.2452 0.1458 1
```

Top 6 peaks for 2θ = 10–80°, sorted by position:
2θ = 13.9°, I = 48, (2 0 -1)
2θ = 25.0°, I = 92, (2 0 1)
2θ = 30.3°, I = 100, (2 2 -2)
2θ = 36.9°, I = 63, (4 2 -1)
2θ = 39.9°, I = 54, (4 2 -3)
2θ = 42.3°, I = 70, (0 2 3)



No. 6
Structure and computed powder X-ray diffraction pattern of AgBr4 (a structure optimized by DFT (PBE); λ = 1.5418 Å (Cu Kα)).
Neutral-atom scattering factors, no anomalous dispersion.

Crystal structure
```
data_AgBr4
_cell_length_a 3.9128
_cell_length_b 4.4609
_cell_length_c 11.3633
_cell_angle_alpha 89.80
_cell_angle_beta 80.42
_cell_angle_gamma 64.06
_symmetry_space_group_name_H-M 'P -1'
_symmetry_Int_Tables_number 2
loop_
_symmetry_equiv_pos_as_xyz
'x,y,z'
'-x,-y,-z'
loop_
_atom_site_label
_atom_site_fract_x
_atom_site_fract_y
_atom_site_fract_z
_atom_site_occupancy
Ag1 0.0000 0.0000 0.0000 1
Br1 0.1024 0.4006 0.3969 1
Br2 0.2974 0.2742 0.1356 1
```

Top 6 peaks for 2θ = 10–80°, sorted by position:
2θ = 15.9°, I = 30, (0 0 2)
2θ = 23.0°, I = 100, (0 1 -1)
2θ = 25.5°, I = 43, (1 0 1)
2θ = 25.8°, I = 41, (1 1 1)
2θ = 38.6°, I = 25, (1 0 -3)
2θ = 40.9°, I = 51, (0 1 4)



No. 7
Structure and computed powder X-ray diffraction pattern of Ag3Br (a structure optimized by DFT (PBE); λ = 1.5418 Å (Cu Kα)).
Neutral-atom scattering factors, no anomalous dispersion.

Crystal structure
```
data_Ag3Br
_cell_length_a 3.5509
_cell_length_b 3.5509
_cell_length_c 6.5878
_cell_angle_alpha 90.00
_cell_angle_beta 90.00
_cell_angle_gamma 90.00
_symmetry_space_group_name_H-M 'P 4/m m m'
_symmetry_Int_Tables_number 123
_symmetry_space_group_name_Hall '-P 4 2'
loop_
_atom_site_label
_atom_site_fract_x
_atom_site_fract_y
_atom_site_fract_z
_atom_site_occupancy
Ag1 0.0000 0.0000 0.0000 1
Ag2 0.5000 0.5000 0.2167 1
Br1 0.0000 0.0000 0.5000 1
```

Top 6 peaks for 2θ = 10–80°, sorted by position:
2θ = 13.4°, I = 11, (0 0 1)
2θ = 35.8°, I = 62, (1 1 0)
2θ = 37.2°, I = 100, (1 0 2)
2θ = 51.5°, I = 21, (2 0 0)
2θ = 65.2°, I = 36, (2 1 2)
2θ = 68.1°, I = 12, (1 1 4)